For NdIn2Rh, a structure optimized by DFT (PBE) gives the calculated XRD peak list in this record (Cu Kα (weighted mean of Kα1 and Kα2)).
Lines closer than 0.1° are merged.

Top 10 peaks for 2θ from 10° to 90°, low angle first:
two_theta	I/Imax	h k l
31.19	100.0	1 1 2
32.88	23.3	1 3 0
34.77	74.5	1 3 1
36.53	30.0	0 4 1
37.79	27.2	0 2 3
39.97	26.0	1 3 2
40.21	27.0	1 1 3
40.55	40.1	2 0 0
55.71	17.5	2 4 1
66.76	17.5	1 7 0

Atomic structure:
Lattice parameters (Å, degrees): 4.4495 10.3336 8.0481 90.00 90.00 90.00
Space group Cmcm (No. 63)
Unique sites:
Nd  0.0000  0.0683  0.2500 x4
In  0.0000  0.3549  0.0517 x8
Rh  0.0000  0.2178  0.7500 x4